Record 1
The following is a simulated X-ray powder pattern of ThFeNi4. It was derived from a cell relaxed with PBE, using Cu Kα, 1.54184 Å.
Lines closer than 0.1° are merged.

Largest 8 diffraction maxima, in order of rising 2θ, 10° ≤ 2θ ≤ 80°:
d = 2.930 Å, I 757; d = 2.476 Å, I 375; d = 2.144 Å, I 396; d = 2.107 Å, I 1000; d = 2.007 Å, I 247; d = 1.503 Å, I 214; d = 1.465 Å, I 232; d = 1.347 Å, I 228

Structure:
Cell: 4.952 4.952 4.013 Å, 90.00 90.00 120.00°
Fractional coordinates of all 6 atoms:
1 Th 0.000 0.000 0.000
2 Fe 0.333 0.667 0.000
3 Ni 0.000 0.500 0.500
4 Ni 0.500 0.000 0.500
5 Ni 0.500 0.500 0.500
6 Ni 0.667 0.333 0.000

Record 2
The following is a simulated X-ray powder pattern of Ti4FeNi. It was derived from a cell relaxed with PBE, using Cu Kα, 1.54184 Å.
Lines closer than 0.1° are merged.

Largest 8 diffraction maxima, in order of rising 2θ, 10° ≤ 2θ ≤ 80°:
d = 6.504 Å, I 113; d = 3.252 Å, I 74; d = 2.299 Å, I 266; d = 2.168 Å, I 1000; d = 1.991 Å, I 279; d = 1.878 Å, I 93; d = 1.328 Å, I 238; d = 1.301 Å, I 74

Structure:
Cell: 7.966 7.966 7.966 Å, 60.00 60.00 60.00°
Fractional coordinates of all 24 atoms:
1 Ti 0.058 0.058 0.442
2 Ti 0.058 0.442 0.058
3 Ti 0.058 0.442 0.442
4 Ti 0.126 0.625 0.625
5 Ti 0.185 0.185 0.815
6 Ti 0.185 0.815 0.185
7 Ti 0.185 0.815 0.815
8 Ti 0.442 0.058 0.058
9 Ti 0.442 0.058 0.442
10 Ti 0.442 0.442 0.058
11 Ti 0.625 0.126 0.625
12 Ti 0.625 0.625 0.126
13 Ti 0.625 0.625 0.625
14 Ti 0.815 0.185 0.185
15 Ti 0.815 0.185 0.815
16 Ti 0.815 0.815 0.185
17 Fe 0.485 0.838 0.838
18 Fe 0.838 0.485 0.838
19 Fe 0.838 0.838 0.485
20 Fe 0.838 0.838 0.838
21 Ni 0.408 0.408 0.408
22 Ni 0.408 0.408 0.777
23 Ni 0.408 0.777 0.408
24 Ni 0.777 0.408 0.408

Record 3
The following is a simulated X-ray powder pattern of U12FeNi. It was derived from a cell relaxed with PBE, using Cu Kα, 1.54184 Å.
Lines closer than 0.1° are merged.

Largest 8 diffraction maxima, in order of rising 2θ, 10° ≤ 2θ ≤ 80°:
d = 2.599 Å, I 273; d = 2.481 Å, I 1000; d = 1.997 Å, I 127; d = 1.583 Å, I 83; d = 1.477 Å, I 210; d = 1.440 Å, I 73; d = 1.421 Å, I 100; d = 1.259 Å, I 122

Structure:
Cell: 7.654 7.654 7.654 Å, 96.62 96.62 140.30°
Fractional coordinates of all 14 atoms:
1 U 0.035 0.356 0.885
2 U 0.150 0.035 0.679
3 U 0.156 0.656 0.312
4 U 0.344 0.844 0.688
5 U 0.356 0.471 0.321
6 U 0.471 0.150 0.115
7 U 0.529 0.644 0.679
8 U 0.644 0.965 0.115
9 U 0.656 0.344 0.500
10 U 0.844 0.156 0.500
11 U 0.850 0.529 0.885
12 U 0.965 0.850 0.321
13 Fe 0.500 0.500 0.000
14 Ni 0.000 0.000 0.000

Record 4
The following is a simulated X-ray powder pattern of V6FeNi. It was derived from a cell relaxed with PBE, using Cu Kα, 1.54184 Å.
Lines closer than 0.1° are merged.

Largest 8 diffraction maxima, in order of rising 2θ, 10° ≤ 2θ ≤ 80°:
d = 3.300 Å, I 25; d = 2.333 Å, I 451; d = 2.087 Å, I 1000; d = 1.905 Å, I 936; d = 1.476 Å, I 5; d = 1.347 Å, I 52; d = 1.294 Å, I 181; d = 1.247 Å, I 408

Structure:
Cell: 4.667 4.667 4.667 Å, 90.00 90.00 90.00°
Fractional coordinates of all 8 atoms:
1 V 0.000 0.248 0.500
2 V 0.000 0.752 0.500
3 V 0.248 0.500 0.000
4 V 0.500 0.000 0.248
5 V 0.500 0.000 0.752
6 V 0.752 0.500 0.000
7 Fe 0.000 0.000 0.000
8 Ni 0.500 0.500 0.500

Record 5
The following is a simulated X-ray powder pattern of YFeNi4. It was derived from a cell relaxed with PBE, using Cu Kα, 1.54184 Å.
Lines closer than 0.1° are merged.

Largest 8 diffraction maxima, in order of rising 2θ, 10° ≤ 2θ ≤ 80°:
d = 2.894 Å, I 290; d = 2.475 Å, I 237; d = 2.143 Å, I 346; d = 2.093 Å, I 1000; d = 1.962 Å, I 291; d = 1.881 Å, I 250; d = 1.447 Å, I 184; d = 1.343 Å, I 216

Structure:
Cell: 4.949 4.949 3.924 Å, 90.00 90.00 120.00°
Fractional coordinates of all 6 atoms:
1 Y 0.000 0.000 0.000
2 Fe 0.333 0.667 0.000
3 Ni 0.500 0.001 0.500
4 Ni 0.500 0.500 0.500
5 Ni 0.667 0.333 0.000
6 Ni 0.999 0.500 0.500

Record 6
The following is a simulated X-ray powder pattern of Zr4FeNi. It was derived from a cell relaxed with PBE, using Cu Kα, 1.54184 Å.
Lines closer than 0.1° are merged.

Largest 8 diffraction maxima, in order of rising 2θ, 10° ≤ 2θ ≤ 80°:
d = 2.748 Å, I 128; d = 2.530 Å, I 1000; d = 2.346 Å, I 235; d = 2.081 Å, I 383; d = 2.015 Å, I 304; d = 1.541 Å, I 208; d = 1.488 Å, I 211; d = 1.318 Å, I 191

Structure:
Cell: 5.277 5.277 5.277 Å, 105.73 105.73 117.25°
Fractional coordinates of all 6 atoms:
1 Zr 0.080 0.580 0.160
2 Zr 0.420 0.920 0.840
3 Zr 0.580 0.420 0.500
4 Zr 0.920 0.080 0.500
5 Fe 0.500 0.500 0.000
6 Ni 0.000 0.000 0.000

Record 7
The following is a simulated X-ray powder pattern of NpFe2. It was derived from a cell relaxed with PBE, using Cu Kα, 1.54184 Å.
Lines closer than 0.1° are merged.

Largest 8 diffraction maxima, in order of rising 2θ, 10° ≤ 2θ ≤ 80°:
d = 3.951 Å, I 394; d = 2.419 Å, I 860; d = 2.063 Å, I 1000; d = 1.975 Å, I 79; d = 1.570 Å, I 104; d = 1.397 Å, I 320; d = 1.317 Å, I 309; d = 1.210 Å, I 214

Structure:
Cell: 4.839 4.839 4.839 Å, 60.00 60.00 60.00°
Fractional coordinates of all 6 atoms:
1 Np 0.125 0.125 0.125
2 Np 0.875 0.875 0.875
3 Fe 0.000 0.500 0.500
4 Fe 0.500 0.000 0.500
5 Fe 0.500 0.500 0.000
6 Fe 0.500 0.500 0.500

Record 8
The following is a simulated X-ray powder pattern of NpFe3. It was derived from a cell relaxed with PBE, using Cu Kα, 1.54184 Å.
Lines closer than 0.1° are merged.

Largest 8 diffraction maxima, in order of rising 2θ, 10° ≤ 2θ ≤ 80°:
d = 3.688 Å, I 185; d = 3.324 Å, I 576; d = 2.633 Å, I 159; d = 2.143 Å, I 1000; d = 2.052 Å, I 162; d = 1.862 Å, I 323; d = 1.624 Å, I 162; d = 1.310 Å, I 197

Structure:
Cell: 4.531 4.531 4.531 Å, 131.48 131.48 71.05°
Fractional coordinates of all 4 atoms:
1 Np 0.000 0.000 0.000
2 Fe 0.250 0.750 0.500
3 Fe 0.500 0.500 0.000
4 Fe 0.750 0.250 0.500

Record 9
The following is a simulated X-ray powder pattern of Ta2FeOs. It was derived from a cell relaxed with PBE, using Cu Kα, 1.54184 Å.
Lines closer than 0.1° are merged.

Largest 8 diffraction maxima, in order of rising 2θ, 10° ≤ 2θ ≤ 80°:
d = 3.636 Å, I 107; d = 3.145 Å, I 29; d = 2.227 Å, I 1000; d = 1.897 Å, I 38; d = 1.579 Å, I 57; d = 1.572 Å, I 112; d = 1.287 Å, I 115; d = 1.285 Å, I 229

Structure:
Cell: 4.457 4.457 4.457 Å, 120.14 120.14 89.76°
Fractional coordinates of all 4 atoms:
1 Ta 0.250 0.750 0.500
2 Ta 0.750 0.250 0.500
3 Fe 0.000 0.000 0.000
4 Os 0.500 0.500 0.000

Record 10
The following is a simulated X-ray powder pattern of Zr2FeOs. It was derived from a cell relaxed with PBE, using Cu Kα, 1.54184 Å.
Lines closer than 0.1° are merged.

Largest 8 diffraction maxima, in order of rising 2θ, 10° ≤ 2θ ≤ 80°:
d = 3.744 Å, I 207; d = 3.243 Å, I 23; d = 2.293 Å, I 1000; d = 1.955 Å, I 112; d = 1.621 Å, I 168; d = 1.488 Å, I 49; d = 1.324 Å, I 335; d = 1.248 Å, I 38

Structure:
Cell: 4.586 4.586 4.586 Å, 60.00 60.00 60.00°
Fractional coordinates of all 4 atoms:
1 Zr 0.250 0.250 0.250
2 Zr 0.750 0.750 0.750
3 Fe 0.000 0.000 0.000
4 Os 0.500 0.500 0.500

Record 11
The following is a simulated X-ray powder pattern of Fe3P. It was derived from a cell relaxed with PBE, using Cu Kα, 1.54184 Å.
Lines closer than 0.1° are merged.

Largest 8 diffraction maxima, in order of rising 2θ, 10° ≤ 2θ ≤ 80°:
d = 2.178 Å, I 1000; d = 2.132 Å, I 266; d = 2.075 Å, I 542; d = 2.023 Å, I 347; d = 1.962 Å, I 851; d = 1.809 Å, I 197; d = 1.774 Å, I 225; d = 1.741 Å, I 283

Structure:
Cell: 6.762 6.762 6.762 Å, 96.04 96.04 142.14°
Fractional coordinates of all 16 atoms:
1 Fe 0.021 0.627 0.669
2 Fe 0.072 0.022 0.610
3 Fe 0.129 0.313 0.973
4 Fe 0.341 0.156 0.027
5 Fe 0.373 0.041 0.393
6 Fe 0.412 0.462 0.390
7 Fe 0.538 0.928 0.950
8 Fe 0.648 0.979 0.607
9 Fe 0.687 0.659 0.815
10 Fe 0.844 0.871 0.185
11 Fe 0.959 0.352 0.331
12 Fe 0.978 0.588 0.050
13 P 0.215 0.462 0.664
14 P 0.448 0.785 0.246
15 P 0.538 0.202 0.754
16 P 0.798 0.552 0.336

Record 12
The following is a simulated X-ray powder pattern of FeP2. It was derived from a cell relaxed with PBE, using Cu Kα, 1.54184 Å.
Lines closer than 0.1° are merged.

Largest 8 diffraction maxima, in order of rising 2θ, 10° ≤ 2θ ≤ 80°:
d = 3.727 Å, I 657; d = 2.453 Å, I 441; d = 2.388 Å, I 1000; d = 1.823 Å, I 343; d = 1.759 Å, I 320; d = 1.744 Å, I 608; d = 1.587 Å, I 329; d = 1.548 Å, I 349

Structure:
Cell: 4.961 5.645 2.724 Å, 90.00 90.00 90.00°
Fractional coordinates of all 6 atoms:
1 Fe 0.000 0.000 0.000
2 Fe 0.500 0.500 0.500
3 P 0.171 0.368 0.000
4 P 0.329 0.868 0.500
5 P 0.671 0.132 0.500
6 P 0.829 0.632 0.000

Record 13
The following is a simulated X-ray powder pattern of PrFe4P12. It was derived from a cell relaxed with PBE, using Cu Kα, 1.54184 Å.
Lines closer than 0.1° are merged.

Largest 8 diffraction maxima, in order of rising 2θ, 10° ≤ 2θ ≤ 80°:
d = 5.529 Å, I 393; d = 3.192 Å, I 270; d = 2.764 Å, I 870; d = 2.473 Å, I 1000; d = 2.090 Å, I 715; d = 1.596 Å, I 622; d = 1.533 Å, I 455; d = 1.236 Å, I 212

Structure:
Cell: 6.771 6.771 6.771 Å, 109.47 109.47 109.47°
Fractional coordinates of all 17 atoms:
1 Pr 0.000 0.000 0.000
2 Fe 0.000 0.000 0.500
3 Fe 0.000 0.500 0.000
4 Fe 0.500 0.000 0.000
5 Fe 0.500 0.500 0.500
6 P 0.152 0.353 0.505
7 P 0.152 0.647 0.798
8 P 0.202 0.848 0.353
9 P 0.353 0.202 0.848
10 P 0.353 0.505 0.152
11 P 0.495 0.848 0.647
12 P 0.505 0.152 0.353
13 P 0.647 0.495 0.848
14 P 0.647 0.798 0.152
15 P 0.798 0.152 0.647
16 P 0.848 0.353 0.202
17 P 0.848 0.647 0.495

Record 14
The following is a simulated X-ray powder pattern of FePRh. It was derived from a cell relaxed with PBE, using Cu Kα, 1.54184 Å.
Lines closer than 0.1° are merged.

Largest 8 diffraction maxima, in order of rising 2θ, 10° ≤ 2θ ≤ 80°:
d = 3.050 Å, I 181; d = 2.330 Å, I 1000; d = 2.132 Å, I 325; d = 1.997 Å, I 323; d = 1.805 Å, I 187; d = 1.761 Å, I 224; d = 1.747 Å, I 178; d = 1.339 Å, I 167

Structure:
Cell: 6.101 6.101 3.609 Å, 90.00 90.00 120.00°
Fractional coordinates of all 9 atoms:
1 Fe 0.000 0.610 0.000
2 Fe 0.390 0.390 0.000
3 Fe 0.610 0.000 0.000
4 P 0.000 0.000 0.000
5 P 0.333 0.667 0.500
6 P 0.667 0.333 0.500
7 Rh 0.000 0.269 0.500
8 Rh 0.269 0.000 0.500
9 Rh 0.731 0.731 0.500